[1]
Structure and simulated powder X-ray diffraction pattern of Tm2PbN (DFT lattice parameters and positions (GGA-PBE); Cu Ka).
Kinematic intensities with the Lorentz-polarization factor, no thermal factor.

Cell and atoms:
```
data_Tm2PbN
_symmetry_space_group_name_H-M 'R -3 m'
_symmetry_Int_Tables_number 166
_symmetry_space_group_name_Hall '-R 3 2"'
_cell_length_a 3.5058
_cell_length_b 3.5058
_cell_length_c 23.0304
_cell_angle_alpha 90.00
_cell_angle_beta 90.00
_cell_angle_gamma 120.00
loop_
_atom_site_label
_atom_site_fract_x
_atom_site_fract_y
_atom_site_fract_z
Tm1 0.0000 0.0000 0.2220
Pb1 0.0000 0.0000 0.0000
N1 0.0000 0.0000 0.5000
```

Main lines, by angle (10° ≤ 2θ ≤ 90°):
(hkl)  2θ (°)  intensity
1 0 1  29.7  37
1 0 4  33.4  100
0 0 9  35.1  36
0 1 5  35.4  77
1 1 0  52.2  39
1 1 9  64.4  54


[2]
Structure and simulated powder X-ray diffraction pattern of Pu2Ga3Ru3 (DFT lattice parameters and positions (GGA-PBE); Cu Ka).
Kinematic intensities with the Lorentz-polarization factor, no thermal factor.

Cell and atoms:
```
data_Pu2Ga3Ru3
_symmetry_space_group_name_H-M 'A m m 2'
_symmetry_Int_Tables_number 38
_cell_length_a 3.049
_cell_length_b 12.437
_cell_length_c 7.200
_cell_angle_alpha 90.00
_cell_angle_beta 90.00
_cell_angle_gamma 90.00
loop_
_symmetry_equiv_pos_as_xyz
'x,y,z'
'-x,-y,z'
'-x,y,z'
'x,-y,z'
'x,y+1/2,z+1/2'
'-x,-y+1/2,z+1/2'
'-x,y+1/2,z+1/2'
'x,-y+1/2,z+1/2'
loop_
_atom_site_label
_atom_site_fract_x
_atom_site_fract_y
_atom_site_fract_z
Pu1 0.000 0.116 0.000
Ga1 0.500 0.000 0.649
Ga2 0.500 0.174 0.358
Ru1 0.000 0.000 0.348
Ru2 0.000 0.186 0.661
```

Main lines, by angle (10° ≤ 2θ ≤ 90°):
(hkl)  2θ (°)  intensity
1 1 1  32.7  29
0 5 1  38.2  100
1 3 1  38.7  58
1 4 0  41.5  31
1 4 2  48.9  58
2 5 1  74.1  29


[3]
Structure and simulated powder X-ray diffraction pattern of Tb3Ge2Rh7 (DFT lattice parameters and positions (GGA-PBE); Cu Ka).
Kinematic intensities with the Lorentz-polarization factor, no thermal factor.

Cell and atoms:
```
data_Tb3Ge2Rh7
_symmetry_space_group_name_H-M 'C m m m'
_symmetry_Int_Tables_number 65
_symmetry_space_group_name_Hall '-C 2 2'
_cell_length_a 4.106
_cell_length_b 28.179
_cell_length_c 3.964
_cell_angle_alpha 90.00
_cell_angle_beta 90.00
_cell_angle_gamma 90.00
loop_
_atom_site_label
_atom_site_fract_x
_atom_site_fract_y
_atom_site_fract_z
Tb1 0.000 0.000 0.000
Tb2 0.000 0.203 0.000
Ge1 0.000 0.416 0.500
Rh1 0.000 0.132 0.500
Rh2 0.000 0.290 0.500
Rh3 0.000 0.366 0.000
Rh4 0.000 0.500 0.500
```

Main lines, by angle (10° ≤ 2θ ≤ 90°):
(hkl)  2θ (°)  intensity
1 5 1  35.3  100
1 7 1  38.7  56
2 0 0  44.1  33
0 0 2  45.8  30
1 11 1  47.7  33
2 0 2  65.5  20


[4]
Structure and simulated powder X-ray diffraction pattern of HgAuBr6 (DFT lattice parameters and positions (GGA-PBE); Cu Ka).
Kinematic intensities with the Lorentz-polarization factor, no thermal factor.

Cell and atoms:
```
data_HgAuBr6
_symmetry_space_group_name_H-M 'P -1'
_symmetry_Int_Tables_number 2
_cell_length_a 6.441
_cell_length_b 6.687
_cell_length_c 8.045
_cell_angle_alpha 88.25
_cell_angle_beta 72.52
_cell_angle_gamma 62.52
loop_
_symmetry_equiv_pos_as_xyz
'x,y,z'
'-x,-y,-z'
loop_
_atom_site_label
_atom_site_fract_x
_atom_site_fract_y
_atom_site_fract_z
Hg1 0.000 0.000 0.000
Au1 0.000 0.500 0.500
Br1 0.183 0.540 0.719
Br2 0.195 0.088 0.515
Br3 0.434 0.782 0.987
```

Main lines, by angle (10° ≤ 2θ ≤ 90°):
(hkl)  2θ (°)  intensity
1 0 0  16.4  67
0 1 -1  17.8  100
1 1 -1  21.9  93
1 0 -1  23.0  35
0 0 2  23.4  71
1 3 -1  42.5  36


[5]
Structure and simulated powder X-ray diffraction pattern of Tb4Dy5Cd2 (DFT lattice parameters and positions (GGA-PBE); Cu Ka).
Kinematic intensities with the Lorentz-polarization factor, no thermal factor.

Cell and atoms:
```
data_Tb4Dy5Cd2
_symmetry_space_group_name_H-M 'P 1 2/m 1'
_symmetry_Int_Tables_number 10
_cell_length_a 8.562
_cell_length_b 3.473
_cell_length_c 11.164
_cell_angle_alpha 90.00
_cell_angle_beta 93.53
_cell_angle_gamma 90.00
loop_
_symmetry_equiv_pos_as_xyz
'x,y,z'
'-x,-y,-z'
'-x,y,-z'
'x,-y,z'
loop_
_atom_site_label
_atom_site_fract_x
_atom_site_fract_y
_atom_site_fract_z
Tb1 0.146 0.000 0.382
Tb2 0.273 0.000 0.951
Dy1 0.203 0.500 0.666
Dy2 0.433 0.500 0.204
Dy3 0.500 0.500 0.500
Cd1 0.056 0.500 0.133
```

Main lines, by angle (10° ≤ 2θ ≤ 90°):
(hkl)  2θ (°)  intensity
1 1 -2  31.8  57
3 0 -1  31.9  77
1 1 2  32.5  45
2 0 3  32.9  77
1 0 -4  33.2  100
2 1 1  34.5  49